[1]
# ThCuSiPt6
Simulated PXRD pattern, Cu Kα (weighted mean of Kα1 and Kα2). Input: a PBE-relaxed structure.

Structural model:
```
data_ThCuSiPt6
_space_group_name_H-M_alt 'I m m a'
_space_group_IT_number 74
_space_group_name_Hall '-I 2b 2'
_cell_length_a 7.1228
_cell_length_b 8.7546
_cell_length_c 11.2149
_cell_angle_alpha 90.00
_cell_angle_beta 90.00
_cell_angle_gamma 90.00
loop_
_atom_site_label
_atom_site_fract_x
_atom_site_fract_y
_atom_site_fract_z
Th1 0.0000 0.2500 0.1480
Cu1 0.2500 0.2500 0.7500
Si1 0.0000 0.0000 0.5000
Pt1 0.0000 0.2500 0.4069
Pt2 0.0000 0.2500 0.9022
Pt3 0.2387 0.0091 0.8743
```

Peak list (12 most intense, 2θ from 10° to 90°, by angle)
| 2θ/deg | d/Å | I (rel.) | index |
| --- | --- | --- | --- |
| 28.20 | 3.165 | 14 | 2 1 1 |
| 31.92 | 2.804 | 42 | 0 0 4 |
| 32.41 | 2.763 | 100 | 2 2 0 |
| 35.92 | 2.500 | 14 | 1 1 4 |
| 41.25 | 2.189 | 35 | 0 4 0 |
| 46.13 | 1.968 | 83 | 2 2 4 |
| 51.31 | 1.780 | 20 | 4 0 0 |
| 53.08 | 1.725 | 20 | 0 4 4 |
| 61.71 | 1.503 | 13 | 4 0 4 |
| 67.85 | 1.381 | 16 | 4 4 0 |
| 76.95 | 1.239 | 13 | 4 4 4 |
| 78.65 | 1.216 | 17 | 2 6 4 |


[2]
# MnBiS2Cl
Simulated PXRD pattern, Cu Kα (weighted mean of Kα1 and Kα2). Input: a PBE-relaxed structure.

Structural model:
```
data_MnBiS2Cl
_space_group_name_H-M_alt 'P n m a'
_space_group_IT_number 62
_space_group_name_Hall '-P 2ac 2n'
_cell_length_a 9.4389
_cell_length_b 3.8947
_cell_length_c 12.4803
_cell_angle_alpha 90.00
_cell_angle_beta 90.00
_cell_angle_gamma 90.00
loop_
_atom_site_label
_atom_site_fract_x
_atom_site_fract_y
_atom_site_fract_z
Mn1 0.0017 0.2500 0.2434
Bi1 0.2005 0.7500 0.4695
S1 0.0537 0.2500 0.6168
S2 0.2486 0.2500 0.3225
Cl1 0.0618 0.7500 0.1162
```

Peak list (12 most intense, 2θ from 10° to 90°, by angle)
| 2θ/deg | d/Å | I (rel.) | index |
| --- | --- | --- | --- |
| 11.76 | 7.528 | 40 | 1 0 1 |
| 14.19 | 6.240 | 53 | 0 0 2 |
| 17.03 | 5.205 | 30 | 1 0 2 |
| 23.64 | 3.764 | 85 | 2 0 2 |
| 25.75 | 3.459 | 100 | 1 1 1 |
| 29.27 | 3.051 | 39 | 3 0 1 |
| 31.47 | 2.843 | 66 | 0 1 3 |
| 32.90 | 2.722 | 97 | 1 1 3 |
| 33.10 | 2.707 | 28 | 2 1 2 |
| 37.45 | 2.402 | 35 | 3 1 1 |
| 46.64 | 1.947 | 26 | 0 2 0 |
| 47.35 | 1.920 | 70 | 2 1 5 |